Pm2Er9Sc: simulated XRD peak list (CuKα), based on a cell relaxed with GGA-PBE.

Structural model:
```
data_Pm2Er9Sc
_symmetry_space_group_name_H-M 'P 1'
_symmetry_Int_Tables_number 1
_symmetry_space_group_name_Hall 'P 1'
_cell_length_a 4.971
_cell_length_b 4.971
_cell_length_c 14.879
_cell_angle_alpha 90.00
_cell_angle_beta 90.00
_cell_angle_gamma 90.00
loop_
_atom_site_label
_atom_site_type_symbol
_atom_site_fract_x
_atom_site_fract_y
_atom_site_fract_z
Pm1 Pm 0.000 0.000 0.168
Pm2 Pm 0.000 0.000 0.832
Er1 Er 0.000 0.500 0.000
Er2 Er 0.000 0.500 0.339
Er3 Er 0.000 0.500 0.661
Er4 Er 0.500 0.000 0.000
Er5 Er 0.500 0.000 0.339
Er6 Er 0.500 0.000 0.661
Er7 Er 0.500 0.500 0.170
Er8 Er 0.500 0.500 0.500
Er9 Er 0.500 0.500 0.830
Sc1 Sc 0.000 0.000 0.500
```

Principal peaks in the range 2θ from 10° to 90°, in order of rising 2θ:
d = 2.868 Å, I 100
d = 2.484 Å, I 50
d = 1.756 Å, I 35
d = 1.499 Å, I 28
d = 1.496 Å, I 13
d = 1.434 Å, I 12
d = 1.139 Å, I 11
d = 1.111 Å, I 11